Starting from DFT lattice parameters and positions (GGA-PBE), the PXRD pattern of Mg3TiNi2 was computed for CuKα.

Structure:
a = 8.227 Å, b = 8.227 Å, c = 8.227 Å
α = 60.00°, β = 60.00°, γ = 60.00°
Sites, in units of the cell vectors:
Mg (0.067, 0.067, 0.683)
Mg (0.067, 0.683, 0.067)
Mg (0.067, 0.683, 0.683)
Mg (0.317, 0.317, 0.933)
Mg (0.317, 0.933, 0.317)
Mg (0.317, 0.933, 0.933)
Mg (0.683, 0.067, 0.067)
Mg (0.683, 0.067, 0.683)
Mg (0.683, 0.683, 0.067)
Mg (0.933, 0.317, 0.317)
Mg (0.933, 0.317, 0.933)
Mg (0.933, 0.933, 0.317)
Ti (0.000, 0.500, 0.500)
Ti (0.500, 0.000, 0.500)
Ti (0.500, 0.500, 0.000)
Ti (0.500, 0.500, 0.500)
Ni (0.295, 0.295, 0.295)
Ni (0.295, 0.295, 0.616)
Ni (0.295, 0.616, 0.295)
Ni (0.384, 0.705, 0.705)
Ni (0.616, 0.295, 0.295)
Ni (0.705, 0.384, 0.705)
Ni (0.705, 0.705, 0.384)
Ni (0.705, 0.705, 0.705)

Principal peaks in the range 2θ = 10–80°, in order of rising 2θ:
2θ/deg  d_spacing  I (rel.)
13.18  6.718  86
21.60  4.114  7
37.88  2.375  16
40.28  2.239  100
44.03  2.057  20
46.16  1.967  9
46.85  1.939  25
51.50  1.774  9
68.42  1.371  23
74.78  1.269  9